Starting from a crystal structure in Alexandria, relaxed with GGA-PBE, the powder X-ray diffraction pattern of Ca3In2Sn7 was calculated for λ = 1.5418 Å (Cu Kα).

Structure:
abc: 6.3436 6.3436 30.9022
angles: 90.00 90.00 120.00
Space group R-3m (No. 166, hexagonal axes)
Symmetry-distinct sites (fractional):
1 Ca 0.0000 0.0000 0.0000 (multiplicity 3)
2 Ca 0.0000 0.0000 0.1392 (multiplicity 6)
3 In 0.0000 0.0000 0.3356 (multiplicity 6)
4 Sn 0.0000 0.0000 0.5000 (multiplicity 3)
5 Sn 0.0084 0.5042 0.9137 (multiplicity 18)

Principal peaks in the range 10° ≤ 2θ ≤ 90°, in order of rising 2θ:
| 2theta | I (rel.) | (hkl) |
| --- | --- | --- |
| 16.4 | 57 | 1 0 1 |
| 32.7 | 22 | 0 2 1 |
| 33.2 | 100 | 1 1 6 |
| 34.7 | 17 | 0 2 4 |
| 34.8 | 31 | 0 0 12 |
| 35.8 | 58 | 2 0 5 |
| 35.9 | 17 | 0 1 11 |
| 38.6 | 33 | 0 2 7 |
| 53.1 | 27 | 0 3 6 |
| 58.2 | 27 | 2 2 0 |
| 61.1 | 17 | 2 0 17 |
| 69.6 | 26 | 2 2 12 |